(1)
This entry pairs a crystal structure of Cs2LiPO4 with its theoretical powder X-ray diffraction pattern. Radiation: Cu Kα X-rays. Structure: DFT lattice parameters and positions (PBE).
No peak broadening, texture or thermal motion is included.

The 12 most intense peaks (2θ = 15–90°), sorted by position:
- 2θ = 16.67°, I = 12.0
- 2θ = 23.32°, I = 100.0
- 2θ = 28.82°, I = 63.7
- 2θ = 29.22°, I = 27.6
- 2θ = 31.27°, I = 65.9
- 2θ = 35.53°, I = 16.5
- 2θ = 40.06°, I = 21.1
- 2θ = 42.76°, I = 19.5
- 2θ = 43.33°, I = 14.1
- 2θ = 45.16°, I = 17.6
- 2θ = 51.57°, I = 11.8
- 2θ = 54.70°, I = 20.2

Atomic structure:
Cell: 12.392 11.048 6.575 Å, 85.37 62.70 31.93°
Sites, in units of the cell vectors:
Cs 0.047 0.047 0.703
Cs 0.297 0.297 0.953
Cs 0.703 0.703 0.047
Cs 0.953 0.953 0.297
Li 0.125 0.125 0.125
Li 0.875 0.875 0.875
P 0.375 0.375 0.375
P 0.625 0.625 0.625
O 0.067 0.602 0.537
O 0.295 0.537 0.602
O 0.398 0.933 0.705
O 0.463 0.705 0.933
O 0.537 0.295 0.067
O 0.602 0.067 0.295
O 0.705 0.463 0.398
O 0.933 0.398 0.463

=====

(2)
This entry pairs a crystal structure of CsLiTaP2O8 with its theoretical powder X-ray diffraction pattern. Radiation: Cu Kα X-rays. Structure: DFT lattice parameters and positions (PBE).
No peak broadening, texture or thermal motion is included.

The 12 most intense peaks (2θ = 15–90°), sorted by position:
- 2θ = 18.68°, I = 60.1
- 2θ = 19.38°, I = 88.6
- 2θ = 19.94°, I = 100.0
- 2θ = 21.78°, I = 49.6
- 2θ = 27.37°, I = 65.1
- 2θ = 29.05°, I = 37.5
- 2θ = 29.58°, I = 60.8
- 2θ = 30.25°, I = 43.1
- 2θ = 30.82°, I = 36.7
- 2θ = 32.73°, I = 39.2
- 2θ = 33.76°, I = 41.7
- 2θ = 34.97°, I = 38.2

Atomic structure:
Cell: 5.137 5.354 8.205 Å, 84.14 88.25 63.08°
Sites, in units of the cell vectors:
Cs 0.000 0.000 0.000
Li 0.782 0.526 0.148
Ta 0.975 0.062 0.530
P 0.303 0.441 0.338
P 0.631 0.674 0.733
O 0.173 0.758 0.372
O 0.191 0.428 0.170
O 0.215 0.273 0.473
O 0.295 0.821 0.698
O 0.647 0.320 0.339
O 0.680 0.660 0.918
O 0.756 0.369 0.680
O 0.767 0.838 0.627

=====

(3)
This entry pairs a crystal structure of CsLiTaP2O8 with its theoretical powder X-ray diffraction pattern. Radiation: Cu Kα X-rays. Structure: DFT lattice parameters and positions (PBE).
No peak broadening, texture or thermal motion is included.

The 12 most intense peaks (2θ = 15–90°), sorted by position:
- 2θ = 18.58°, I = 31.3
- 2θ = 19.76°, I = 63.2
- 2θ = 20.87°, I = 100.0
- 2θ = 25.62°, I = 67.8
- 2θ = 28.79°, I = 47.5
- 2θ = 32.55°, I = 25.2
- 2θ = 33.88°, I = 22.0
- 2θ = 35.32°, I = 21.9
- 2θ = 35.91°, I = 19.7
- 2θ = 41.42°, I = 19.0
- 2θ = 58.27°, I = 24.0
- 2θ = 59.82°, I = 18.3

Atomic structure:
Cell: 5.100 5.100 9.785 Å, 100.68 100.68 62.49°
Sites, in units of the cell vectors:
Cs 0.000 0.000 0.000
Li 0.798 0.798 0.286
Ta 0.925 0.925 0.563
P 0.311 0.311 0.738
P 0.532 0.532 0.374
O 0.155 0.155 0.622
O 0.166 0.643 0.710
O 0.195 0.676 0.396
O 0.287 0.287 0.886
O 0.572 0.572 0.230
O 0.643 0.166 0.710
O 0.676 0.195 0.396
O 0.689 0.689 0.488